[1]
For Pu5Ir2Pt2, a GGA-PBE-relaxed structure gives the theoretical XRD peak list in this record (Cu Kα X-rays).

Principal peaks in the range 10 to 90 degrees two-theta, low angle first:
| two_theta | I/Imax |
| --- | --- |
| 28.96 | 4 |
| 30.27 | 6 |
| 36.23 | 100 |
| 36.94 | 80 |
| 47.90 | 10 |
| 52.70 | 30 |
| 62.95 | 6 |
| 65.16 | 19 |
| 65.63 | 31 |
| 74.84 | 21 |
| 76.89 | 12 |
| 88.51 | 15 |

Crystal structure
Cell: 4.9595 4.9595 8.8588 Å, 90.00 90.00 120.00°
Space group P-6m2 (No. 187)
Unique sites:
1 Pu 0.0000 0.0000 0.0000
2 Pu 0.3333 0.6667 0.1873
3 Pu 0.6667 0.3333 0.3347
4 Ir 0.3333 0.6667 0.5000
5 Ir 0.6667 0.3333 0.0000
6 Pt 0.0000 0.0000 0.3469

[2]
For Ir6PtRh2, a GGA-PBE-relaxed structure gives the theoretical XRD peak list in this record (Cu Kα X-rays).

Principal peaks in the range 10 to 90 degrees two-theta, low angle first:
| two_theta | I/Imax |
| --- | --- |
| 33.88 | 45 |
| 35.21 | 19 |
| 40.48 | 100 |
| 40.83 | 46 |
| 45.84 | 28 |
| 48.09 | 35 |
| 50.85 | 42 |
| 56.62 | 13 |
| 74.10 | 13 |
| 76.95 | 22 |
| 83.78 | 25 |
| 84.01 | 12 |

Crystal structure
Cell: 7.740 13.262 2.700 Å, 90.00 90.00 90.00°
Space group Imm2 (No. 44)
Unique sites:
1 Ir 0.167 0.000 0.000
2 Ir 0.179 0.325 0.500
3 Pt 0.000 0.500 0.498
4 Rh 0.000 0.147 0.500

[3]
For Ir2Pt6Rh3, a GGA-PBE-relaxed structure gives the theoretical XRD peak list in this record (Cu Kα X-rays).

Principal peaks in the range 10 to 90 degrees two-theta, low angle first:
| two_theta | I/Imax |
| --- | --- |
| 19.84 | 19 |
| 38.30 | 19 |
| 39.31 | 27 |
| 40.32 | 55 |
| 40.96 | 100 |
| 43.18 | 53 |
| 45.91 | 54 |
| 49.09 | 22 |
| 52.65 | 14 |
| 68.56 | 35 |
| 70.16 | 25 |
| 82.64 | 42 |

Crystal structure
Cell: 8.208 4.744 18.105 Å, 90.00 98.72 90.00°
Space group C2/c (No. 15)
Unique sites:
1 Ir 0.083 0.248 0.000
2 Pt 0.045 0.086 0.379
3 Pt 0.127 0.414 0.621
4 Pt 0.210 0.422 0.879
5 Rh 0.000 0.417 0.250
6 Rh 0.167 0.083 0.750

[4]
For IrPt4Rh3, a GGA-PBE-relaxed structure gives the theoretical XRD peak list in this record (Cu Kα X-rays).

Principal peaks in the range 10 to 90 degrees two-theta, low angle first:
| two_theta | I/Imax |
| --- | --- |
| 11.35 | 2 |
| 22.82 | 4 |
| 32.32 | 4 |
| 39.93 | 100 |
| 46.36 | 33 |
| 46.61 | 16 |
| 52.27 | 2 |
| 67.65 | 11 |
| 67.84 | 21 |
| 81.54 | 26 |
| 81.91 | 13 |
| 86.14 | 11 |

Crystal structure
Cell: 3.917 3.917 15.589 Å, 90.00 90.00 90.00°
Space group I4/mmm (No. 139)
Unique sites:
1 Ir 0.000 0.000 0.000
2 Pt 0.000 0.500 0.125
3 Rh 0.000 0.000 0.250
4 Rh 0.000 0.000 0.500

[5]
For Ir3Pt2Rh3, a GGA-PBE-relaxed structure gives the theoretical XRD peak list in this record (Cu Kα X-rays).

Principal peaks in the range 10 to 90 degrees two-theta, low angle first:
| two_theta | I/Imax |
| --- | --- |
| 32.86 | 24 |
| 39.59 | 54 |
| 40.31 | 100 |
| 43.26 | 35 |
| 43.73 | 37 |
| 47.67 | 19 |
| 47.79 | 31 |
| 52.95 | 27 |
| 66.76 | 17 |
| 71.81 | 14 |
| 80.29 | 15 |
| 82.96 | 25 |

Crystal structure
Cell: 2.725 10.638 8.281 Å, 90.00 90.00 90.00°
Space group Amm2 (No. 38)
Unique sites:
1 Ir 0.000 0.000 0.000
2 Ir 0.000 0.126 0.734
3 Pt 0.000 0.129 0.277
4 Rh 0.500 0.000 0.512
5 Rh 0.500 0.225 0.008

[6]
For IrPt8Rh6, a GGA-PBE-relaxed structure gives the theoretical XRD peak list in this record (Cu Kα X-rays).

Principal peaks in the range 10 to 90 degrees two-theta, low angle first:
| two_theta | I/Imax |
| --- | --- |
| 29.79 | 28 |
| 36.37 | 35 |
| 39.57 | 29 |
| 42.08 | 100 |
| 43.18 | 84 |
| 44.36 | 29 |
| 47.77 | 13 |
| 61.87 | 18 |
| 69.27 | 16 |
| 71.87 | 15 |
| 76.15 | 16 |
| 78.42 | 12 |

Crystal structure
Cell: 7.2584 7.2584 15.9791 Å, 90.00 90.00 120.00°
Space group R-3 (No. 148, hexagonal axes)
Unique sites:
1 Ir 0.0000 0.0000 0.0000
2 Pt 0.0000 0.0000 0.2529
3 Pt 0.0142 0.3007 0.1290
4 Rh 0.0036 0.2870 0.6299

[7]
For IrRu2PtRh4, a GGA-PBE-relaxed structure gives the theoretical XRD peak list in this record (Cu Kα X-rays).

Principal peaks in the range 10 to 90 degrees two-theta, low angle first:
| two_theta | I/Imax |
| --- | --- |
| 21.27 | 13 |
| 39.36 | 100 |
| 39.65 | 48 |
| 43.32 | 74 |
| 48.85 | 54 |
| 64.66 | 23 |
| 69.93 | 18 |
| 72.09 | 16 |
| 74.50 | 15 |
| 76.81 | 14 |
| 81.37 | 12 |
| 85.25 | 11 |

Crystal structure
Cell: 4.703 5.473 9.091 Å, 90.00 90.00 90.00°
Space group I222 (No. 23)
Unique sites:
1 Ir 0.000 0.000 0.000
2 Ru 0.000 0.254 0.500
3 Pt 0.000 0.500 0.000
4 Rh 0.246 0.122 0.752

[8]
For TcIr2PtRh2, a GGA-PBE-relaxed structure gives the theoretical XRD peak list in this record (Cu Kα X-rays).

Principal peaks in the range 10 to 90 degrees two-theta, low angle first:
| two_theta | I/Imax |
| --- | --- |
| 19.82 | 47 |
| 22.27 | 25 |
| 22.51 | 23 |
| 36.61 | 17 |
| 40.65 | 100 |
| 41.60 | 27 |
| 45.95 | 47 |
| 46.66 | 38 |
| 50.19 | 22 |
| 74.47 | 16 |
| 77.33 | 15 |
| 88.00 | 15 |

Crystal structure
Cell: 8.802 8.960 2.683 Å, 90.00 90.00 90.00°
Space group Pnnm (No. 58)
Unique sites:
1 Tc 0.000 0.000 0.000
2 Ir 0.247 0.064 0.500
3 Pt 0.000 0.500 0.500
4 Rh 0.134 0.783 0.500